Simulated powder diffraction line list
Compound: Sc4FeSe
Radiation: Cu Kα X-rays
Structure: the GGA-PBE geometry in Alexandria
Intensities are scaled so that the largest is 100.

The 10 most intense peaks (2θ from 10° to 90°), in order of falling intensity:
2θ (°), intensity, (hkl)
37.87, 100.0, 2 1 3
33.69, 44.9, 1 1 4
34.86, 42.6, 0 1 5
43.09, 36.5, 3 0 4
45.10, 36.0, 1 1 7
48.25, 33.3, 0 2 0
34.53, 31.6, 2 1 0
23.71, 28.0, 1 0 4
40.96, 19.6, 0 0 8
45.24, 19.2, 3 1 1

Structural model:
```
data_Sc4FeSe
_space_group_name_H-M_alt 'P n m a'
_space_group_IT_number 62
_cell_length_a 7.162
_cell_length_b 3.772
_cell_length_c 17.626
_cell_angle_alpha 90.00
_cell_angle_beta 90.00
_cell_angle_gamma 90.00
loop_
_space_group_symop_operation_xyz
'x,y,z'
'-x,-y,-z'
'-x+1/2,-y,z+1/2'
'x+1/2,y,-z+1/2'
'x+1/2,-y+1/2,-z+1/2'
'-x+1/2,y+1/2,z+1/2'
'-x,y+1/2,-z'
'x,-y+1/2,z'
loop_
_atom_site_label
_atom_site_fract_x
_atom_site_fract_y
_atom_site_fract_z
Sc1 0.002 0.250 0.069
Sc2 0.062 0.250 0.785
Sc3 0.119 0.250 0.356
Sc4 0.143 0.250 0.541
Fe1 0.250 0.250 0.942
Se1 0.237 0.250 0.198
```